Record 1
This entry pairs a crystal structure of Fe6O5F7 with its calculated PXRD pattern. Radiation: Cu Kα (weighted mean of Kα1 and Kα2). Structure: a GGA+U-relaxed structure.
Intensities are scaled so that the largest is 100.

Largest 8 diffraction maxima, in order of rising 2θ, 10° ≤ 2θ ≤ 80°:
index  2theta  d (Å)  Rel. int.
1 0 -1  25.64  3.474  100
1 0 1  27.13  3.287  93
0 3 1  34.62  2.591  100
1 3 -2  51.24  1.783  62
2 0 -2  52.70  1.737  20
1 3 2  52.92  1.730  51
0 3 3  65.99  1.416  21
3 3 0  66.11  1.413  20

Cell and atoms:
```
data_Fe6O5F7
_chemical_formula_sum 'Fe6 O5 F7'
_cell_length_a 4.7775
_cell_length_b 9.2552
_cell_length_c 4.7873
_cell_angle_alpha 90.00
_cell_angle_beta 93.17
_cell_angle_gamma 90.00
_symmetry_space_group_name_H-M 'P 1 m 1'
_symmetry_Int_Tables_number 6
_symmetry_space_group_name_Hall 'P -2y'
loop_
_atom_site_label
_atom_site_type_symbol
_atom_site_fract_x
_atom_site_fract_y
_atom_site_fract_z
Fe1 Fe 0.0000 0.0000 0.0000
Fe2 Fe 0.4262 0.1509 0.4913
Fe3 Fe 0.4628 0.5000 0.5100
Fe4 Fe 0.9629 0.3417 0.0154
O1 O 0.1423 0.1729 0.1858
O2 O 0.1594 0.5000 0.2109
O3 O 0.2516 0.0000 0.7031
O4 O 0.7574 0.5000 0.8095
F1 F 0.2594 0.3360 0.7000
F2 F 0.6482 0.3336 0.3130
F3 F 0.6687 0.0000 0.2858
F4 F 0.7515 0.1700 0.7955
```

***

Record 2
This entry pairs a crystal structure of Fe5O8F2 with its calculated PXRD pattern. Radiation: Cu Kα (weighted mean of Kα1 and Kα2). Structure: a GGA+U-relaxed structure.
Intensities are scaled so that the largest is 100.

Largest 8 diffraction maxima, in order of rising 2θ, 10° ≤ 2θ ≤ 80°:
index  2theta  d (Å)  Rel. int.
1 1 -1  27.18  3.281  100
1 0 4  35.27  2.545  14
0 1 5  35.40  2.535  40
1 2 4  53.41  1.715  29
2 1 -7  53.62  1.709  30
2 2 -2  56.06  1.640  16
0 3 5  68.06  1.378  16
3 0 -8  68.25  1.374  11

Cell and atoms:
```
data_Fe5O8F2
_chemical_formula_sum 'Fe10 O16 F4'
_cell_length_a 4.6415
_cell_length_b 4.6383
_cell_length_c 15.8249
_cell_angle_alpha 90.00
_cell_angle_beta 106.72
_cell_angle_gamma 90.00
_symmetry_space_group_name_H-M 'P 1 21/c 1'
_symmetry_Int_Tables_number 14
_symmetry_space_group_name_Hall '-P 2ybc'
loop_
_atom_site_label
_atom_site_type_symbol
_atom_site_fract_x
_atom_site_fract_y
_atom_site_fract_z
Fe1 Fe 0.0000 0.0000 0.0000
Fe2 Fe 0.2097 0.0110 0.2052
Fe3 Fe 0.4241 0.5206 0.9009
O1 O 0.1149 0.6955 0.8019
O2 O 0.2763 0.1832 0.0998
O3 O 0.3062 0.6943 0.9999
O4 O 0.4915 0.6937 0.1956
F1 F 0.1060 0.2021 0.8989
```